No. 1
Theoretical X-ray diffraction stick pattern of ErTeAs for Cu Kα (weighted mean of Kα1 and Kα2), from the GGA-PBE geometry in the Materials Project.
Kinematic intensities with the Lorentz-polarization factor, no thermal factor.

Top 6 peaks for 2θ = 10–90°, by intensity:
- 37.19 deg, intensity 100, (1 1 3)
- 33.78 deg, intensity 63, (2 1 1)
- 40.42 deg, intensity 54, (3 0 2)
- 32.50 deg, intensity 54, (2 1 0)
- 29.67 deg, intensity 39, (1 0 3)
- 30.94 deg, intensity 34, (1 1 2)

Crystal structure
Cell: 7.509 4.054 9.862 Å, 90.00 90.00 90.00°
Fractional positions:
Er  0.232  0.250  0.159
Er  0.268  0.750  0.659
Er  0.732  0.250  0.341
Er  0.768  0.750  0.841
Te  0.085  0.250  0.852
Te  0.415  0.750  0.352
Te  0.585  0.250  0.648
Te  0.915  0.750  0.148
As  0.099  0.250  0.460
As  0.401  0.750  0.960
As  0.599  0.250  0.040
As  0.901  0.750  0.540

No. 2
Theoretical X-ray diffraction stick pattern of Hf9B2W3 for Cu Kα (weighted mean of Kα1 and Kα2), from the GGA-PBE geometry in the Materials Project.
Kinematic intensities with the Lorentz-polarization factor, no thermal factor.

Top 6 peaks for 2θ = 10–90°, by intensity:
- 38.54 deg, intensity 100, (3 0 1)
- 39.00 deg, intensity 91, (2 1 2)
- 32.42 deg, intensity 59, (2 0 2)
- 40.42 deg, intensity 54, (2 0 3)
- 64.79 deg, intensity 41, (3 2 3)
- 34.07 deg, intensity 41, (1 0 3)

Crystal structure
Cell: 8.420 8.420 8.465 Å, 90.00 90.00 120.00°
Fractional positions:
Hf  0.081  0.540  0.250
Hf  0.201  0.401  0.555
Hf  0.201  0.401  0.945
Hf  0.201  0.799  0.555
Hf  0.201  0.799  0.945
Hf  0.401  0.201  0.055
Hf  0.401  0.201  0.445
Hf  0.460  0.540  0.250
Hf  0.460  0.919  0.250
Hf  0.540  0.081  0.750
Hf  0.540  0.460  0.750
Hf  0.599  0.799  0.555
Hf  0.599  0.799  0.945
Hf  0.799  0.201  0.055
Hf  0.799  0.201  0.445
Hf  0.799  0.599  0.055
Hf  0.799  0.599  0.445
Hf  0.919  0.460  0.750
B  0.000  0.000  0.000
B  0.000  0.000  0.500
B  0.333  0.667  0.750
B  0.667  0.333  0.250
W  0.108  0.216  0.250
W  0.108  0.892  0.250
W  0.216  0.108  0.750
W  0.784  0.892  0.250
W  0.892  0.108  0.750
W  0.892  0.784  0.750

> What is the formula in the first record?

ErTeAs